(1)
This entry pairs a crystal structure of KH2I3O9 with its computed XRD peak list. Radiation: a wavelength of 1.5418 Å. Structure: the GGA-PBE geometry in the Materials Project.
No peak broadening, texture or thermal motion is included.

Principal peaks in the range 5° ≤ 2θ ≤ 70°, low angle first:
Position (°2θ)	d (Å)	intensity
23.6	3.777	82
24.9	3.571	73
25.8	3.449	100
27.5	3.239	72
29.7	3.011	48
31.7	2.827	41

Crystal structure
```
data_KH2I3O9
_chemical_formula_sum 'K2 H4 I6 O18'
_cell_length_a 8.3221
_cell_length_b 8.3316
_cell_length_c 8.3333
_cell_angle_alpha 66.63
_cell_angle_beta 85.95
_cell_angle_gamma 60.36
_symmetry_space_group_name_H-M 'P 1'
_symmetry_Int_Tables_number 1
_symmetry_space_group_name_Hall 'P 1'
loop_
_atom_site_label
_atom_site_type_symbol
_atom_site_fract_x
_atom_site_fract_y
_atom_site_fract_z
K1 K 0.0000 0.0000 0.0000
K2 K 0.4464 0.0313 0.5583
H1 H 0.0853 0.7885 0.7515
H2 H 0.3615 0.2423 0.8055
H3 H 0.7011 0.5022 0.7979
H4 H 0.7545 0.0054 0.2984
I1 I 0.0251 0.4268 0.0812
I2 I 0.4167 0.6034 0.4757
I3 I 0.4818 0.5363 0.0202
I4 I 0.5391 0.9525 0.0960
I5 I 0.9136 0.0902 0.4675
I6 I 0.9602 0.4944 0.5518
O1 O 0.1279 0.3568 0.3013
O2 O 0.1866 0.1964 0.0501
O3 O 0.1983 0.4235 0.6227
O4 O 0.2520 0.6001 0.9363
O5 O 0.2532 0.8348 0.5060
O6 O 0.3183 0.6707 0.2533
O7 O 0.4594 0.7854 0.9211
O8 O 0.4985 0.1378 0.8521
O9 O 0.5639 0.0996 0.2003
O10 O 0.6013 0.6698 0.4134
O11 O 0.6028 0.4562 0.8356
O12 O 0.6647 0.2370 0.4651
O13 O 0.7859 0.7944 0.0934
O14 O 0.8399 0.3580 0.1495
O15 O 0.8457 0.5631 0.7312
O16 O 0.8926 0.9322 0.3599
O17 O 0.9491 0.8953 0.7048
O18 O 0.9865 0.2397 0.6365
```



(2)
This entry pairs a crystal structure of Cu3TeS3Cl with its computed XRD peak list. Radiation: a wavelength of 1.5418 Å. Structure: the GGA-PBE geometry in the Materials Project.
No peak broadening, texture or thermal motion is included.

Principal peaks in the range 5° ≤ 2θ ≤ 70°, low angle first:
Position (°2θ)	d (Å)	intensity
26.0	3.427	43
29.2	3.063	100
32.9	2.722	24
45.2	2.006	37
49.2	1.853	32
52.9	1.731	20

Crystal structure
```
data_Cu3TeS3Cl
_chemical_formula_sum 'Cu3 Te1 S3 Cl1'
_cell_length_a 5.4818
_cell_length_b 5.4818
_cell_length_c 5.4818
_cell_angle_alpha 85.05
_cell_angle_beta 85.05
_cell_angle_gamma 85.05
_symmetry_space_group_name_H-M 'P 1'
_symmetry_Int_Tables_number 1
_symmetry_space_group_name_Hall 'P 1'
loop_
_atom_site_label
_atom_site_type_symbol
_atom_site_fract_x
_atom_site_fract_y
_atom_site_fract_z
Cu1 Cu 0.0499 0.4751 0.4751
Cu2 Cu 0.4751 0.0499 0.4751
Cu3 Cu 0.4751 0.4751 0.0499
Te1 Te 0.9934 0.9934 0.9934
S1 S 0.2744 0.2744 0.7740
S2 S 0.2744 0.7740 0.2744
S3 S 0.7740 0.2744 0.2744
Cl1 Cl 0.6777 0.6777 0.6777
```



(3)
This entry pairs a crystal structure of CuBi2Se3O11 with its computed XRD peak list. Radiation: a wavelength of 1.5418 Å. Structure: the GGA-PBE geometry in the Materials Project.
No peak broadening, texture or thermal motion is included.

Principal peaks in the range 5° ≤ 2θ ≤ 70°, low angle first:
Position (°2θ)	d (Å)	intensity
8.0	11.004	42
27.8	3.214	100
32.5	2.754	38
33.3	2.691	25
46.6	1.948	22
55.1	1.665	27

Crystal structure
```
data_CuBi2Se3O11
_chemical_formula_sum 'Cu2 Bi4 Se6 O22'
_cell_length_a 11.0044
_cell_length_b 8.7452
_cell_length_c 8.7452
_cell_angle_alpha 142.03
_cell_angle_beta 90.00
_cell_angle_gamma 90.00
_symmetry_space_group_name_H-M 'P 1'
_symmetry_Int_Tables_number 1
_symmetry_space_group_name_Hall 'P 1'
loop_
_atom_site_label
_atom_site_type_symbol
_atom_site_fract_x
_atom_site_fract_y
_atom_site_fract_z
Cu1 Cu 0.1039 0.2500 0.7500
Cu2 Cu 0.8961 0.7500 0.2500
Bi1 Bi 0.3789 0.3453 0.1795
Bi2 Bi 0.3789 0.6795 0.8453
Bi3 Bi 0.6211 0.1795 0.3453
Bi4 Bi 0.6211 0.8453 0.6795
Se1 Se 0.1484 0.1828 0.3413
Se2 Se 0.1484 0.8413 0.6828
Se3 Se 0.3777 0.0901 0.5901
Se4 Se 0.6223 0.5901 0.0901
Se5 Se 0.8516 0.3413 0.1828
Se6 Se 0.8516 0.6828 0.8413
O1 O 0.0459 0.6349 0.1349
O2 O 0.0905 0.1354 0.8631
O3 O 0.0905 0.3631 0.6354
O4 O 0.2312 0.7471 0.4573
O5 O 0.2312 0.9573 0.2471
O6 O 0.2616 0.4033 0.4600
O7 O 0.2616 0.9600 0.9033
O8 O 0.2732 0.3266 0.8266
O9 O 0.4639 0.1179 0.7812
O10 O 0.4639 0.2812 0.6179
O11 O 0.5000 0.0499 0.0499
O12 O 0.5000 0.5499 0.5499
O13 O 0.5361 0.6179 0.2812
O14 O 0.5361 0.7812 0.1179
O15 O 0.7268 0.8266 0.3266
O16 O 0.7384 0.4600 0.4033
O17 O 0.7384 0.9033 0.9600
O18 O 0.7688 0.2471 0.9573
O19 O 0.7688 0.4573 0.7471
O20 O 0.9095 0.6354 0.3631
O21 O 0.9095 0.8631 0.1354
O22 O 0.9541 0.1349 0.6349
```



(4)
This entry pairs a crystal structure of Mo2CN with its computed XRD peak list. Radiation: a wavelength of 1.5418 Å. Structure: the GGA-PBE geometry in the Materials Project.
No peak broadening, texture or thermal motion is included.

Principal peaks in the range 5° ≤ 2θ ≤ 70°, low angle first:
Position (°2θ)	d (Å)	intensity
31.6	2.829	39
35.6	2.519	98
48.4	1.881	100
64.0	1.454	23
66.1	1.414	7

Crystal structure
```
data_Mo2CN
_chemical_formula_sum 'Mo2 C1 N1'
_cell_length_a 2.8290
_cell_length_b 2.9103
_cell_length_c 5.0354
_cell_angle_alpha 90.00
_cell_angle_beta 90.00
_cell_angle_gamma 90.00
_symmetry_space_group_name_H-M 'P 1'
_symmetry_Int_Tables_number 1
_symmetry_space_group_name_Hall 'P 1'
loop_
_atom_site_label
_atom_site_type_symbol
_atom_site_fract_x
_atom_site_fract_y
_atom_site_fract_z
Mo1 Mo 0.0000 0.0000 0.0000
Mo2 Mo 0.0000 0.5000 0.4990
C1 C 0.5000 0.0000 0.3313
N1 N 0.5000 0.5000 0.8334
```



(5)
This entry pairs a crystal structure of K6NbAs3O with its computed XRD peak list. Radiation: a wavelength of 1.5418 Å. Structure: the GGA-PBE geometry in the Materials Project.
No peak broadening, texture or thermal motion is included.

Principal peaks in the range 5° ≤ 2θ ≤ 70°, low angle first:
Position (°2θ)	d (Å)	intensity
13.7	6.448	41
19.5	4.559	27
28.8	3.097	37
29.9	2.985	100
33.1	2.709	30
36.0	2.497	24

Crystal structure
```
data_K6NbAs3O
_chemical_formula_sum 'K24 Nb4 As12 O4'
_cell_length_a 11.1675
_cell_length_b 11.1675
_cell_length_c 11.1675
_cell_angle_alpha 90.00
_cell_angle_beta 90.00
_cell_angle_gamma 90.00
_symmetry_space_group_name_H-M 'P 1'
_symmetry_Int_Tables_number 1
_symmetry_space_group_name_Hall 'P 1'
loop_
_atom_site_label
_atom_site_type_symbol
_atom_site_fract_x
_atom_site_fract_y
_atom_site_fract_z
K1 K 0.0358 0.2854 0.8654
K2 K 0.1346 0.5358 0.2146
K3 K 0.1372 0.6372 0.8628
K4 K 0.1522 0.1522 0.1522
K5 K 0.1817 0.8183 0.3183
K6 K 0.2146 0.1346 0.5358
K7 K 0.2854 0.8654 0.0358
K8 K 0.3183 0.1817 0.8183
K9 K 0.3478 0.8478 0.6522
K10 K 0.3628 0.3628 0.3628
K11 K 0.3654 0.4642 0.7146
K12 K 0.4642 0.7146 0.3654
K13 K 0.5358 0.2146 0.1346
K14 K 0.6346 0.9642 0.7854
K15 K 0.6372 0.8628 0.1372
K16 K 0.6522 0.3478 0.8478
K17 K 0.6817 0.6817 0.6817
K18 K 0.7146 0.3654 0.4642
K19 K 0.7854 0.6346 0.9642
K20 K 0.8183 0.3183 0.1817
K21 K 0.8478 0.6522 0.3478
K22 K 0.8628 0.1372 0.6372
K23 K 0.8654 0.0358 0.2854
K24 K 0.9642 0.7854 0.6346
Nb1 Nb 0.0700 0.4300 0.5700
Nb2 Nb 0.4300 0.5700 0.0700
Nb3 Nb 0.5700 0.0700 0.4300
Nb4 Nb 0.9300 0.9300 0.9300
As1 As 0.0198 0.3058 0.3867
As2 As 0.1133 0.9802 0.8058
As3 As 0.1942 0.6133 0.5198
As4 As 0.3058 0.3867 0.0198
As5 As 0.3867 0.0198 0.3058
As6 As 0.4802 0.6942 0.8867
As7 As 0.5198 0.1942 0.6133
As8 As 0.6133 0.5198 0.1942
As9 As 0.6942 0.8867 0.4802
As10 As 0.8058 0.1133 0.9802
As11 As 0.8867 0.4802 0.6942
As12 As 0.9802 0.8058 0.1133
O1 O 0.1661 0.3339 0.6661
O2 O 0.3339 0.6661 0.1661
O3 O 0.6661 0.1661 0.3339
O4 O 0.8339 0.8339 0.8339
```



(6)
This entry pairs a crystal structure of LaMg15 with its computed XRD peak list. Radiation: a wavelength of 1.5418 Å. Structure: the GGA-PBE geometry in the Materials Project.
No peak broadening, texture or thermal motion is included.

Principal peaks in the range 5° ≤ 2θ ≤ 70°, low angle first:
Position (°2θ)	d (Å)	intensity
8.5	10.360	25
15.5	5.711	22
17.7	5.001	33
31.3	2.855	27
34.6	2.590	24
35.9	2.501	100

Crystal structure
```
data_LaMg15
_chemical_formula_sum 'La1 Mg15'
_cell_length_a 6.5942
_cell_length_b 6.5942
_cell_length_c 10.3597
_cell_angle_alpha 90.00
_cell_angle_beta 90.00
_cell_angle_gamma 120.00
_symmetry_space_group_name_H-M 'P 1'
_symmetry_Int_Tables_number 1
_symmetry_space_group_name_Hall 'P 1'
loop_
_atom_site_label
_atom_site_type_symbol
_atom_site_fract_x
_atom_site_fract_y
_atom_site_fract_z
La1 La 0.0000 0.0000 0.0000
Mg1 Mg 0.0000 0.0000 0.5000
Mg2 Mg 0.0109 0.5055 0.0000
Mg3 Mg 0.1682 0.3365 0.2560
Mg4 Mg 0.1682 0.3365 0.7440
Mg5 Mg 0.1682 0.8318 0.2560
Mg6 Mg 0.1682 0.8318 0.7440
Mg7 Mg 0.4945 0.5055 0.0000
Mg8 Mg 0.4945 0.9891 0.0000
Mg9 Mg 0.5010 0.0019 0.5000
Mg10 Mg 0.5010 0.4990 0.5000
Mg11 Mg 0.6635 0.8318 0.2560
Mg12 Mg 0.6635 0.8318 0.7440
Mg13 Mg 0.6667 0.3333 0.2450
Mg14 Mg 0.6667 0.3333 0.7550
Mg15 Mg 0.9981 0.4990 0.5000
```



(7)
This entry pairs a crystal structure of EuMgTl2 with its computed XRD peak list. Radiation: a wavelength of 1.5418 Å. Structure: the GGA-PBE geometry in the Materials Project.
No peak broadening, texture or thermal motion is included.

Principal peaks in the range 5° ≤ 2θ ≤ 70°, low angle first:
Position (°2θ)	d (Å)	intensity
20.3	4.384	11
23.4	3.797	17
33.4	2.685	100
47.9	1.898	18
54.0	1.698	8
59.6	1.550	38

Crystal structure
```
data_EuMgTl2
_chemical_formula_sum 'Eu4 Mg4 Tl8'
_cell_length_a 7.5939
_cell_length_b 7.5939
_cell_length_c 7.5939
_cell_angle_alpha 90.00
_cell_angle_beta 90.00
_cell_angle_gamma 90.00
_symmetry_space_group_name_H-M 'P 1'
_symmetry_Int_Tables_number 1
_symmetry_space_group_name_Hall 'P 1'
loop_
_atom_site_label
_atom_site_type_symbol
_atom_site_fract_x
_atom_site_fract_y
_atom_site_fract_z
Eu1 Eu 0.0000 0.0000 0.0000
Eu2 Eu 0.0000 0.5000 0.5000
Eu3 Eu 0.5000 0.0000 0.5000
Eu4 Eu 0.5000 0.5000 0.0000
Mg1 Mg 0.0000 0.0000 0.5000
Mg2 Mg 0.0000 0.5000 0.0000
Mg3 Mg 0.5000 0.0000 0.0000
Mg4 Mg 0.5000 0.5000 0.5000
Tl1 Tl 0.2500 0.2500 0.2500
Tl2 Tl 0.2500 0.2500 0.7500
Tl3 Tl 0.2500 0.7500 0.2500
Tl4 Tl 0.2500 0.7500 0.7500
Tl5 Tl 0.7500 0.2500 0.2500
Tl6 Tl 0.7500 0.2500 0.7500
Tl7 Tl 0.7500 0.7500 0.2500
Tl8 Tl 0.7500 0.7500 0.7500
```